# 1
# Mg6MnFeO8
Calculated powder diffraction line list, Cu Kα. Input: a DFT-relaxed cell (GGA+U, Alexandria).
Kinematic intensities with the Lorentz-polarization factor, no thermal factor.

Cell and atoms:
Unit cell a=4.3270 b=4.3270 c=8.5714 alpha=90.00 beta=90.00 gamma=90.00
Space group P4/mmm (No. 123)
Inequivalent atoms, fractional coordinates:
Mg 0.0000 0.0000 0.0000 (multiplicity 1)
Mg 0.0000 0.5000 0.2480 (multiplicity 4)
Mg 0.5000 0.5000 0.0000 (multiplicity 1)
Mn 0.0000 0.0000 0.5000 (multiplicity 1)
Fe 0.5000 0.5000 0.5000 (multiplicity 1)
O 0.0000 0.0000 0.2415 (multiplicity 2)
O 0.0000 0.5000 0.0000 (multiplicity 2)
O 0.0000 0.5000 0.5000 (multiplicity 2)
O 0.5000 0.5000 0.2478 (multiplicity 2)

Peak list (10 most intense, 2θ = 10–90°, by angle)
2theta	Rel. int.	h k l
10.3	35	0 0 1
20.7	9	0 0 2
31.0	12	1 1 1
36.1	37	1 1 2
41.7	100	2 0 0
42.2	48	0 0 4
60.5	28	2 2 0
60.8	56	2 0 4
72.5	12	3 1 2
76.5	25	2 2 4

=====

# 2
# Mg6MnFeO8
Calculated powder diffraction line list, Cu Kα. Input: a DFT-relaxed cell (GGA+U, Alexandria).
Kinematic intensities with the Lorentz-polarization factor, no thermal factor.

Cell and atoms:
Unit cell a=4.2980 b=4.2980 c=8.6724 alpha=90.00 beta=90.00 gamma=90.00
Space group P4/mmm (No. 123)
Inequivalent atoms, fractional coordinates:
Mg 0.0000 0.0000 0.0000 (multiplicity 1)
Mg 0.0000 0.0000 0.5000 (multiplicity 1)
Mg 0.0000 0.5000 0.2490 (multiplicity 4)
Mn 0.5000 0.5000 0.5000 (multiplicity 1)
Fe 0.5000 0.5000 0.0000 (multiplicity 1)
O 0.0000 0.0000 0.2493 (multiplicity 2)
O 0.0000 0.5000 0.0000 (multiplicity 2)
O 0.0000 0.5000 0.5000 (multiplicity 2)
O 0.5000 0.5000 0.2482 (multiplicity 2)

Peak list (10 most intense, 2θ = 10–90°, by angle)
2theta	Rel. int.	h k l
20.5	9	0 0 2
20.7	17	1 0 0
29.3	15	1 0 2
36.1	37	1 1 2
41.7	51	0 0 4
42.0	100	2 0 0
60.7	58	2 0 4
61.0	28	2 2 0
72.9	12	3 1 2
76.6	26	2 2 4

=====

# 3
# Mg14MnFeO16
Calculated powder diffraction line list, Cu Kα. Input: a DFT-relaxed cell (GGA+U, Alexandria).
Kinematic intensities with the Lorentz-polarization factor, no thermal factor.

Cell and atoms:
Unit cell a=8.5666 b=8.5666 c=4.2781 alpha=90.00 beta=90.00 gamma=90.00
Space group P4/mmm (No. 123)
Inequivalent atoms, fractional coordinates:
Mg 0.0000 0.2499 0.0000 (multiplicity 4)
Mg 0.0000 0.5000 0.5000 (multiplicity 2)
Mg 0.2477 0.5000 0.0000 (multiplicity 4)
Mg 0.2495 0.2495 0.5000 (multiplicity 4)
Mn 0.5000 0.5000 0.5000 (multiplicity 1)
Fe 0.0000 0.0000 0.5000 (multiplicity 1)
O 0.0000 0.0000 0.0000 (multiplicity 1)
O 0.0000 0.2533 0.5000 (multiplicity 4)
O 0.0000 0.5000 0.0000 (multiplicity 2)
O 0.2431 0.5000 0.5000 (multiplicity 4)
O 0.2500 0.2500 0.0000 (multiplicity 4)
O 0.5000 0.5000 0.0000 (multiplicity 1)

Peak list (10 most intense, 2θ = 10–90°, by angle)
2theta	Rel. int.	h k l
14.6	6	1 1 0
20.7	5	2 0 0
25.5	4	1 1 1
29.5	4	2 2 0
36.3	17	2 2 1
39.4	3	3 1 1
42.2	100	4 0 0
61.2	56	4 4 0
73.3	10	6 2 1
77.2	17	4 4 2